[1]
The following is a computed X-ray powder pattern of Mg6ZnFe. It was derived from the PBE geometry in the Materials Project, using copper Kα.
Kinematic intensities with the Lorentz-polarization factor, no thermal factor.

Peak list (6 most intense, 10° ≤ 2θ ≤ 90°, by intensity)
| hkl | 2θ (°) | d [Å] | intensity |
| --- | --- | --- | --- |
| 1 2 2 | 38.84 | 2.318 | 1000 |
| 1 0 4 | 39.08 | 2.305 | 495 |
| 2 0 0 | 37.85 | 2.377 | 353 |
| 0 2 2 | 33.75 | 2.656 | 303 |
| 0 0 2 | 16.82 | 5.270 | 243 |
| 2 2 2 | 51.60 | 1.771 | 173 |

Structural model:
Cell lengths 4.754, 6.149, 10.540 Å; angles 90.00, 90.00, 90.00 degrees
Space group Amm2 (No. 38)
Inequivalent atoms, fractional coordinates:
Mg (0.000, 0.000, 0.000)
Mg (0.000, 0.000, 0.495)
Mg (0.000, 0.243, 0.236)
Mg (0.500, 0.249, 0.909)
Zn (0.500, 0.000, 0.658)
Fe (0.500, 0.000, 0.157)

=====

[2]
The following is a computed X-ray powder pattern of Mg14ZrFe. It was derived from the PBE geometry in the Materials Project, using copper Kα.
Kinematic intensities with the Lorentz-polarization factor, no thermal factor.

Peak list (6 most intense, 10° ≤ 2θ ≤ 90°, by intensity)
| hkl | 2θ (°) | d [Å] | intensity |
| --- | --- | --- | --- |
| 2 2 2 | 37.82 | 2.379 | 1000 |
| 2 0 4 | 36.90 | 2.436 | 604 |
| 4 0 0 | 35.65 | 2.518 | 400 |
| 0 2 2 | 33.19 | 2.699 | 313 |
| 4 2 6 | 69.98 | 1.344 | 194 |
| 4 2 2 | 49.51 | 1.841 | 191 |

Structural model:
Cell lengths 10.073, 6.172, 11.131 Å; angles 90.00, 90.00, 90.00 degrees
Space group Amm2 (No. 38)
Inequivalent atoms, fractional coordinates:
Mg (0.000, 0.000, 0.000)
Mg (0.000, 0.000, 0.498)
Mg (0.000, 0.247, 0.250)
Mg (0.247, 0.000, 0.662)
Mg (0.259, 0.246, 0.916)
Mg (0.267, 0.000, 0.156)
Mg (0.500, 0.243, 0.755)
Zr (0.500, 0.000, 0.506)
Fe (0.500, 0.000, 0.998)